# ErMgMn4
Simulated powder XRD pattern, CuKα. Input: a DFT-relaxed cell (GGA-PBE, Alexandria).
Intensities are scaled so that the largest is 100.

Cell and atoms:
a = 5.0076 Å, b = 5.0076 Å, c = 5.0076 Å
α = 62.56°, β = 62.56°, γ = 62.56°
Positions (direct):
Er1 0.0000 0.0000 0.0000
Mg1 0.7484 0.7484 0.7484
Mn1 0.3734 0.3734 0.3734
Mn2 0.3752 0.3752 0.8715
Mn3 0.3752 0.8715 0.3752
Mn4 0.8715 0.3752 0.3752

The 12 most intense peaks (2θ from 10° to 90°), low angle first:
2θ/deg, Rel. int.
21.1, 39
24.7, 54
34.5, 42
35.9, 38
40.8, 51
41.4, 100
42.6, 44
42.9, 43
66.5, 23
67.4, 22
72.7, 21
76.2, 18